(1)
KVI5: calculated powder X-ray diffraction pattern (Cu Ka), based on DFT lattice parameters and positions (PBE).

Largest 10 diffraction maxima, low angle first, 2θ from 10° to 90°:
2θ (°)  I (rel.)
13.59  25.2
14.39  81.5
23.52  47.3
24.94  100.0
27.38  59.5
32.01  33.4
36.55  31.1
38.16  26.1
46.94  26.9
51.18  28.6

Structural model:
Unit cell a=8.5390 b=9.5884 c=8.8787 alpha=90.00 beta=90.00 gamma=90.00
Space group Imm2 (No. 44)
Asymmetric unit:
K: 0.0000 0.0000 0.0000 [2 per cell]
V: 0.0000 0.5000 0.6851 [2 per cell]
I: 0.0000 0.2168 0.6816 [4 per cell]
I: 0.0000 0.5000 0.3929 [2 per cell]
I: 0.2400 0.0000 0.3369 [4 per cell]



(2)
TiSiSeN2: calculated powder X-ray diffraction pattern (Cu Ka), based on DFT lattice parameters and positions (PBE).

Largest 10 diffraction maxima, low angle first, 2θ from 10° to 90°:
2θ (°)  I (rel.)
16.82  65.4
25.07  41.8
34.01  84.7
35.75  72.5
39.76  100.0
50.17  55.5
51.46  47.0
63.13  48.4
64.74  20.2
85.69  20.1

Structural model:
Unit cell a=3.5516 b=3.5516 c=5.2724 alpha=90.00 beta=90.00 gamma=90.00
Space group P4/mmm (No. 123)
Asymmetric unit:
Ti: 0.0000 0.0000 0.0000 [1 per cell]
Si: 0.5000 0.5000 0.5000 [1 per cell]
Se: 0.5000 0.5000 0.0000 [1 per cell]
N: 0.0000 0.5000 0.5000 [2 per cell]



(3)
InB3O6: calculated powder X-ray diffraction pattern (Cu Ka), based on DFT lattice parameters and positions (PBE).

Largest 10 diffraction maxima, low angle first, 2θ from 10° to 90°:
2θ (°)  I (rel.)
18.12  100.0
21.35  63.3
23.34  34.2
29.51  29.1
29.71  54.6
31.84  79.4
43.01  49.1
43.97  43.5
46.30  30.7
51.47  32.1

Structural model:
Unit cell a=6.0534 b=8.3225 c=7.6211 alpha=90.00 beta=90.00 gamma=90.00
Space group Ibam (No. 72)
Asymmetric unit:
In: 0.0000 0.0000 0.2500 [4 per cell]
B: 0.0000 0.5000 0.2500 [4 per cell]
B: 0.1253 0.3105 0.0000 [8 per cell]
O: 0.0708 0.1530 0.0000 [8 per cell]
O: 0.1561 0.3964 0.1549 [16 per cell]



(4)
PmTmMg14: calculated powder X-ray diffraction pattern (Cu Ka), based on DFT lattice parameters and positions (PBE).

Largest 10 diffraction maxima, low angle first, 2θ from 10° to 90°:
2θ (°)  I (rel.)
11.04  46.4
18.10  36.1
21.25  49.9
28.05  28.4
28.78  23.9
34.21  100.0
36.68  41.7
42.76  22.3
59.61  22.3
64.47  30.5

Structural model:
Unit cell a=6.9303 b=6.9303 c=8.0157 alpha=90.00 beta=90.00 gamma=90.00
Space group P4/mmm (No. 123)
Asymmetric unit:
Pm: 0.0000 0.0000 0.0000 [1 per cell]
Tm: 0.5000 0.5000 0.0000 [1 per cell]
Mg: 0.0000 0.0000 0.5000 [1 per cell]
Mg: 0.0000 0.5000 0.0000 [2 per cell]
Mg: 0.0000 0.5000 0.5000 [2 per cell]
Mg: 0.2525 0.2525 0.2615 [8 per cell]
Mg: 0.5000 0.5000 0.5000 [1 per cell]